For UV2PbO8, a GGA+U-relaxed structure gives the calculated PXRD pattern in this record (Cu Kα).
No peak broadening, texture or thermal motion is included.

```
data_UV2PbO8
_symmetry_space_group_name_H-M 'P -3'
_symmetry_Int_Tables_number 147
_symmetry_space_group_name_Hall '-P 3'
_cell_length_a 5.8345
_cell_length_b 5.8345
_cell_length_c 7.0923
_cell_angle_alpha 90.00
_cell_angle_beta 90.00
_cell_angle_gamma 120.00
loop_
_atom_site_label
_atom_site_type_symbol
_atom_site_fract_x
_atom_site_fract_y
_atom_site_fract_z
U1 U 0.0000 0.0000 0.0000
V1 V 0.3333 0.6667 0.2819
Pb1 Pb 0.0000 0.0000 0.5000
O1 O 0.1643 0.3306 0.2001
O2 O 0.3333 0.6667 0.5161
```

Peak list (10 most intense, 10° ≤ 2θ ≤ 80°, low angle first)
two_theta  I (rel.)
17.55  100
21.59  15
30.65  53
30.80  73
40.02  29
44.01  36
47.62  17
54.55  42
61.17  14
72.53  14